# NaHg15
Simulated PXRD pattern, CuKα. Input: a crystal structure in Alexandria, relaxed with GGA-PBE.

Largest 10 diffraction maxima, most intense first, 2θ from 5° to 70°:
Position (°2θ)  Rel. int.  h k l
34.6  100  2 0 2
32.7  26  0 0 4
30.4  24  2 0 0
64.5  22  2 2 4
59.5  21  2 0 6
54.0  19  2 2 0
45.2  16  2 0 4
65.7  16  4 0 2
68.5  3  0 0 8
63.2  3  4 0 0

Structure:
a b c (Å): 6.797 6.797 10.965
angles (deg): 90.00 90.00 120.00
Fractional coordinates of all 16 atoms:
Na  0.000  0.000  0.000
Hg  0.000  0.000  0.500
Hg  0.005  0.502  0.000
Hg  0.333  0.667  0.255
Hg  0.333  0.667  0.745
Hg  0.334  0.167  0.247
Hg  0.334  0.167  0.753
Hg  0.498  0.502  0.000
Hg  0.498  0.995  0.000
Hg  0.501  0.003  0.500
Hg  0.501  0.499  0.500
Hg  0.833  0.167  0.247
Hg  0.833  0.167  0.753
Hg  0.833  0.666  0.247
Hg  0.833  0.666  0.753
Hg  0.997  0.499  0.500